[1]
BaNdMnCoO6: calculated powder diffraction line list (Cu Kα (weighted mean of Kα1 and Kα2)), based on a DFT-relaxed cell (GGA+U, the Materials Project).
Kinematic intensities with the Lorentz-polarization factor, no thermal factor.

Most intense lines, 5° ≤ 2θ ≤ 70°, sorted by position:
two_theta  I/Imax
32.07  100
32.20  99
32.31  99
39.70  54
45.83  33
46.13  32
46.54  30
57.18  38
57.37  38
57.64  40
67.06  19
67.38  18

Crystal structure
Lattice parameters (Å, degrees): 5.5828 5.5828 7.8057 90.00 90.00 90.36
Fractional coordinates of all 20 atoms:
Ba  0.2487  0.7513  0.0000
Ba  0.7513  0.2487  0.0000
Nd  0.2416  0.7584  0.4933
Nd  0.7584  0.2416  0.4933
Mn  0.2500  0.2500  0.7418
Mn  0.7500  0.7500  0.7418
Co  0.2521  0.2521  0.2487
Co  0.7479  0.7479  0.2487
O  0.0000  0.0000  0.2572
O  0.0000  0.0000  0.7357
O  0.0000  0.5000  0.2731
O  0.0000  0.5000  0.7224
O  0.2279  0.2279  0.4982
O  0.2554  0.2554  0.9986
O  0.5000  0.0000  0.2731
O  0.5000  0.0000  0.7224
O  0.5000  0.5000  0.2853
O  0.5000  0.5000  0.7100
O  0.7446  0.7446  0.9986
O  0.7721  0.7721  0.4982



[2]
Li2V3O6: calculated powder diffraction line list (Cu Kα (weighted mean of Kα1 and Kα2)), based on a DFT-relaxed cell (GGA+U, the Materials Project).
Kinematic intensities with the Lorentz-polarization factor, no thermal factor.

Most intense lines, 5° ≤ 2θ ≤ 70°, sorted by position:
two_theta  I/Imax
17.95  100
35.16  23
35.54  12
42.40  47
43.23  22
46.86  7
55.80  11
60.97  6
61.91  12
62.06  6
62.40  12
65.15  9

Crystal structure
Lattice parameters (Å, degrees): 5.1726 5.1726 10.0719 95.47 95.47 120.32
Fractional coordinates of all 22 atoms:
Li  0.2454  0.2454  0.2503
Li  0.4137  0.0930  0.7500
Li  0.7546  0.7546  0.7497
Li  0.9070  0.5863  0.2500
V  0.1664  0.8336  0.0000
V  0.3317  0.6683  0.5000
V  0.4963  0.5037  0.0000
V  0.6690  0.3310  0.5000
V  0.8313  0.1687  0.0000
V  0.9960  0.0040  0.5000
O  0.0358  0.7276  0.6089
O  0.1190  0.1186  0.8918
O  0.1784  0.5160  0.1082
O  0.2724  0.9642  0.3911
O  0.3750  0.3687  0.6081
O  0.4840  0.8216  0.8918
O  0.5442  0.2193  0.1088
O  0.6313  0.6250  0.3919
O  0.7060  0.0296  0.6087
O  0.7807  0.4558  0.8912
O  0.8814  0.8810  0.1082
O  0.9704  0.2940  0.3913